[1]
Calculated powder diffractogram
Compound: CdNiF5
Radiation: copper Kα
Structure: DFT lattice parameters and positions (PBE+U)

Top 10 peaks for 15° ≤ 2θ ≤ 90°, by intensity:
27.12 deg, intensity 100.0, hkl 1 1 0
21.90 deg, intensity 98.2, hkl 0 0 2
26.97 deg, intensity 61.7, hkl 0 2 0
52.99 deg, intensity 43.9, hkl 0 2 4
35.12 deg, intensity 34.4, hkl 1 1 2
47.73 deg, intensity 29.7, hkl 1 3 0
44.65 deg, intensity 25.4, hkl 0 0 4
35.01 deg, intensity 23.8, hkl 0 2 2
37.77 deg, intensity 21.2, hkl 1 2 1
48.00 deg, intensity 20.9, hkl 2 0 0

Crystal structure
```
data_CdNiF5
_chemical_formula_sum 'Cd2 Ni2 F10'
_cell_length_a 3.791
_cell_length_b 6.612
_cell_length_c 8.118
_cell_angle_alpha 90.00
_cell_angle_beta 90.00
_cell_angle_gamma 90.00
_symmetry_space_group_name_H-M 'I m m m'
_symmetry_Int_Tables_number 71
_symmetry_space_group_name_Hall '-I 2 2'
loop_
_atom_site_label
_atom_site_type_symbol
_atom_site_fract_x
_atom_site_fract_y
_atom_site_fract_z
_atom_site_occupancy
Cd1 Cd 0.000 0.000 0.000 1
Ni1 Ni 0.000 0.000 0.500 1
F1 F 0.000 0.000 0.272 1
F2 F 0.000 0.298 0.500 1
F3 F 0.000 0.500 0.000 1
```

***

[2]
Calculated powder diffractogram
Compound: CdNiPd2F8
Radiation: copper Kα
Structure: DFT lattice parameters and positions (PBE+U)

Top 10 peaks for 15° ≤ 2θ ≤ 90°, by intensity:
26.26 deg, intensity 100.0, hkl 2 0 0
29.79 deg, intensity 97.3, hkl 1 1 2
48.59 deg, intensity 76.1, hkl 3 1 2
54.92 deg, intensity 23.6, hkl 2 0 4
62.94 deg, intensity 23.0, hkl 3 3 2
37.49 deg, intensity 19.0, hkl 2 2 0
54.05 deg, intensity 17.3, hkl 4 0 0
61.07 deg, intensity 13.9, hkl 4 2 0
47.32 deg, intensity 13.5, hkl 0 0 4
80.69 deg, intensity 12.5, hkl 4 2 4

Crystal structure
```
data_CdNiPd2F8
_chemical_formula_sum 'Cd2 Ni2 Pd4 F16'
_cell_length_a 6.787
_cell_length_b 6.787
_cell_length_c 7.685
_cell_angle_alpha 90.00
_cell_angle_beta 90.00
_cell_angle_gamma 90.00
_symmetry_space_group_name_H-M 'I -4 m 2'
_symmetry_Int_Tables_number 119
_symmetry_space_group_name_Hall 'I -4 -2'
loop_
_atom_site_label
_atom_site_type_symbol
_atom_site_fract_x
_atom_site_fract_y
_atom_site_fract_z
_atom_site_occupancy
Cd1 Cd 0.000 0.000 0.000 1
Ni1 Ni 0.000 0.500 0.250 1
Pd1 Pd 0.000 0.000 0.500 1
Pd2 Pd 0.000 0.500 0.750 1
F1 F 0.000 0.204 0.288 1
F2 F 0.000 0.320 0.970 1
```

***

[3]
Calculated powder diffractogram
Compound: ZnCdNiF6
Radiation: copper Kα
Structure: DFT lattice parameters and positions (PBE+U)

Top 10 peaks for 15° ≤ 2θ ≤ 90°, by intensity:
26.78 deg, intensity 100.0, hkl 1 0 2
51.18 deg, intensity 43.4, hkl 1 1 4
33.67 deg, intensity 29.9, hkl 1 1 0
43.54 deg, intensity 25.4, hkl 2 0 2
56.14 deg, intensity 23.7, hkl 2 1 2
60.22 deg, intensity 17.0, hkl 3 0 0
38.66 deg, intensity 10.8, hkl 1 1 2
82.91 deg, intensity 9.4, hkl 4 -2 4
77.20 deg, intensity 9.1, hkl 4 -1 2
61.19 deg, intensity 8.7, hkl 1 0 6

Crystal structure
```
data_ZnCdNiF6
_chemical_formula_sum 'Zn2 Cd2 Ni2 F12'
_cell_length_a 5.3234
_cell_length_b 5.3234
_cell_length_c 9.6227
_cell_angle_alpha 90.00
_cell_angle_beta 90.00
_cell_angle_gamma 120.00
_symmetry_space_group_name_H-M 'P -3 1 c'
_symmetry_Int_Tables_number 163
_symmetry_space_group_name_Hall '-P 3 2c'
loop_
_atom_site_label
_atom_site_type_symbol
_atom_site_fract_x
_atom_site_fract_y
_atom_site_fract_z
_atom_site_occupancy
Zn1 Zn 0.3333 0.6667 0.2500 1
Cd1 Cd 0.0000 0.0000 0.0000 1
Ni1 Ni 0.3333 0.6667 0.7500 1
F1 F 0.0047 0.3542 0.6361 1
```